Starting from a crystal structure in Alexandria, relaxed with GGA-PBE, the XRD peak list of Sn2Pd7S2 was computed for Cu Ka.

Structure:
```
11
Lattice="3.755 -4.482 0.000 3.755 4.482 0.000 -2.053 0.000 5.981" Properties=species:S:1:pos:R:3 pbc="T T T"
Sn 3.755 2.827 0.000
Sn 3.755 -2.827 0.000
Pd 1.782 2.396 1.854
Pd 0.103 0.000 2.112
Pd 3.674 2.396 4.127
Pd 2.728 0.000 2.991
Pd 1.782 -2.396 1.854
Pd 5.354 0.000 3.869
Pd 3.674 -2.396 4.127
S 0.983 0.000 4.471
S 4.474 0.000 1.511
```

Main lines, by intensity (2θ from 10° to 80°):
- 2θ 39.0, rel. 100
- 2θ 38.2, rel. 54
- 2θ 32.3, rel. 34
- 2θ 45.5, rel. 31
- 2θ 40.2, rel. 31
- 2θ 50.9, rel. 27

=====

Starting from a crystal structure in Alexandria, relaxed with GGA-PBE, the XRD peak list of CuP4N7 was computed for Cu Ka.

Structure:
```
24
Lattice="12.174 0.000 0.000 0.000 4.990 0.000 0.000 0.000 4.681" Properties=species:S:1:pos:R:3 pbc="T T T"
Cu 0.000 0.815 0.000
Cu 6.087 4.175 2.341
P 1.458 3.339 0.360
P 3.037 4.115 2.562
P 3.050 0.875 0.222
P 4.628 1.651 2.701
P 7.545 1.651 2.701
P 9.124 0.875 0.222
P 9.137 4.115 2.562
P 10.715 3.339 0.360
N 0.000 3.831 4.541
N 1.691 3.653 1.906
N 1.716 1.771 4.663
N 2.648 4.337 4.232
N 3.439 0.653 1.891
N 4.371 3.219 2.322
N 4.396 1.337 4.247
N 6.087 1.160 2.200
N 7.777 1.337 4.247
N 7.803 3.219 2.322
N 8.735 0.653 1.891
N 9.526 4.337 4.232
N 10.458 1.771 4.663
N 10.483 3.653 1.906
```

Main lines, by intensity (2θ from 10° to 80°):
- 2θ 20.3, rel. 100
- 2θ 39.7, rel. 24
- 2θ 38.5, rel. 23
- 2θ 28.3, rel. 22
- 2θ 34.5, rel. 22
- 2θ 26.1, rel. 19